# 1
Calculated powder diffraction line list of NpBeFe2O6 for Cu Kα, 1.54184 Å, from a crystal structure in Alexandria, relaxed with PBE+U.

The 10 most intense peaks (15 to 90 degrees two-theta), low angle first:
| 2θ (°) | intensity |
| --- | --- |
| 19.21 | 100 |
| 19.92 | 29 |
| 21.36 | 62 |
| 24.49 | 25 |
| 30.79 | 74 |
| 32.73 | 47 |
| 33.16 | 26 |
| 40.47 | 23 |
| 40.88 | 36 |
| 53.27 | 34 |

Cell and atoms:
```
NpBeFe2O6
1.0
4.9254 -2.7017 0.0000
4.9254 2.7017 0.0000
-2.0980 0.0000 4.4591
Np Be Fe O
1 1 2 6
Direct
0.0000 0.0000 0.0000
0.5000 0.5000 0.5000
0.2442 0.2442 0.6440
0.7558 0.7558 0.3560
0.1893 0.6410 0.6362
0.1957 0.1957 0.0035
0.3590 0.8107 0.3638
0.6410 0.1893 0.6362
0.8043 0.8043 0.9965
0.8107 0.3590 0.3638
```

# 2
Calculated powder diffraction line list of BeFeSnO4 for Cu Kα, 1.54184 Å, from a crystal structure in Alexandria, relaxed with PBE+U.

The 10 most intense peaks (15 to 90 degrees two-theta), low angle first:
| 2θ (°) | intensity |
| --- | --- |
| 17.99 | 21 |
| 18.70 | 100 |
| 34.91 | 52 |
| 35.86 | 24 |
| 36.44 | 20 |
| 37.91 | 17 |
| 43.10 | 50 |
| 43.40 | 25 |
| 46.90 | 20 |
| 62.83 | 33 |

Cell and atoms:
```
BeFeSnO4
1.0
-2.8861 3.0572 4.1696
2.8861 -3.0572 4.1696
2.8861 3.0572 -4.1696
Be Fe Sn O
2 2 2 8
Direct
0.3920 0.1420 0.2500
0.6080 0.8580 0.7500
0.0000 0.0000 0.5000
0.0000 0.5000 0.0000
0.0000 0.5000 0.5000
0.5000 0.5000 0.0000
0.2572 0.2522 0.4950
0.2572 0.7621 0.0050
0.2625 0.2499 0.0126
0.2628 0.7501 0.5126
0.7372 0.2499 0.4874
0.7375 0.7501 0.9874
0.7428 0.2379 0.9950
0.7428 0.7478 0.5050
```